Entry 1:
Starting from a GGA-PBE-relaxed structure, the powder diffraction line list of MgCo6P4 was simulated for Cu Ka.

Structural model:
```
data_MgCo6P4
_chemical_formula_sum 'Mg1 Co6 P4'
_space_group_name_H-M_alt 'P 1'
_space_group_IT_number 1
_cell_length_a 3.564
_cell_length_b 6.467
_cell_length_c 6.467
_cell_angle_alpha 68.11
_cell_angle_beta 90.00
_cell_angle_gamma 90.00
loop_
_space_group_symop_operation_xyz
'x,y,z'
loop_
_atom_site_label
_atom_site_type_symbol
_atom_site_fract_x
_atom_site_fract_y
_atom_site_fract_z
_atom_site_occupancy
Mg1 Mg 0.000 0.000 0.000 1
Co1 Co 0.000 0.148 0.606 1
Co2 Co 0.000 0.606 0.148 1
Co3 Co 0.000 0.717 0.717 1
Co4 Co 0.500 0.361 0.361 1
Co5 Co 0.500 0.378 0.765 1
Co6 Co 0.500 0.765 0.378 1
P1 P 0.000 0.507 0.507 1
P2 P 0.500 0.160 0.160 1
P3 P 0.500 0.578 0.975 1
P4 P 0.500 0.975 0.578 1
```

Peak list (10 most intense, 10° ≤ 2θ ≤ 90°, by angle)
- 14.8 deg, d = 6.001 Å, rel. 836
- 29.1 deg, d = 3.064 Å, rel. 324
- 30.1 deg, d = 2.967 Å, rel. 352
- 39.3 deg, d = 2.295 Å, rel. 1000
- 41.9 deg, d = 2.154 Å, rel. 282
- 42.2 deg, d = 2.141 Å, rel. 288
- 46.2 deg, d = 1.965 Å, rel. 754
- 49.4 deg, d = 1.843 Å, rel. 871
- 50.4 deg, d = 1.811 Å, rel. 245
- 51.3 deg, d = 1.781 Å, rel. 658

Entry 2:
Starting from a GGA-PBE-relaxed structure, the powder diffraction line list of Pr4Mg3Co2 was simulated for Cu Ka.

Structural model:
```
data_Pr4Mg3Co2
_chemical_formula_sum 'Pr4 Mg3 Co2'
_space_group_name_H-M_alt 'P 1'
_space_group_IT_number 1
_cell_length_a 7.686
_cell_length_b 3.856
_cell_length_c 8.346
_cell_angle_alpha 90.00
_cell_angle_beta 109.83
_cell_angle_gamma 90.00
loop_
_space_group_symop_operation_xyz
'x,y,z'
loop_
_atom_site_label
_atom_site_type_symbol
_atom_site_fract_x
_atom_site_fract_y
_atom_site_fract_z
_atom_site_occupancy
Pr1 Pr 0.097 0.000 0.225 1
Pr2 Pr 0.397 0.000 0.683 1
Pr3 Pr 0.603 0.000 0.317 1
Pr4 Pr 0.903 0.000 0.775 1
Mg1 Mg 0.000 0.500 0.500 1
Mg2 Mg 0.295 0.500 0.002 1
Mg3 Mg 0.705 0.500 0.998 1
Co1 Co 0.353 0.500 0.396 1
Co2 Co 0.647 0.500 0.604 1
```

Peak list (10 most intense, 10° ≤ 2θ ≤ 90°, by angle)
- 11.3 deg, d = 7.851 Å, rel. 365
- 13.5 deg, d = 6.537 Å, rel. 519
- 22.7 deg, d = 3.926 Å, rel. 418
- 23.1 deg, d = 3.856 Å, rel. 437
- 23.3 deg, d = 3.811 Å, rel. 462
- 30.5 deg, d = 2.928 Å, rel. 407
- 32.5 deg, d = 2.751 Å, rel. 901
- 33.0 deg, d = 2.711 Å, rel. 1000
- 38.6 deg, d = 2.332 Å, rel. 544
- 40.0 deg, d = 2.256 Å, rel. 305

Entry 3:
Starting from a GGA-PBE-relaxed structure, the powder diffraction line list of RbMg14Co was simulated for Cu Ka.

Structural model:
```
data_RbMg14Co
_chemical_formula_sum 'Rb1 Mg14 Co1'
_space_group_name_H-M_alt 'P 1'
_space_group_IT_number 1
_cell_length_a 6.392
_cell_length_b 6.392
_cell_length_c 10.685
_cell_angle_alpha 90.00
_cell_angle_beta 90.00
_cell_angle_gamma 120.00
loop_
_space_group_symop_operation_xyz
'x,y,z'
loop_
_atom_site_label
_atom_site_type_symbol
_atom_site_fract_x
_atom_site_fract_y
_atom_site_fract_z
_atom_site_occupancy
Rb1 Rb 0.000 0.000 0.000 1
Mg1 Mg 0.007 0.503 0.000 1
Mg2 Mg 0.163 0.325 0.284 1
Mg3 Mg 0.163 0.325 0.716 1
Mg4 Mg 0.163 0.837 0.284 1
Mg5 Mg 0.163 0.837 0.716 1
Mg6 Mg 0.497 0.503 0.000 1
Mg7 Mg 0.497 0.993 0.000 1
Mg8 Mg 0.506 0.011 0.500 1
Mg9 Mg 0.506 0.494 0.500 1
Mg10 Mg 0.667 0.333 0.240 1
Mg11 Mg 0.667 0.333 0.760 1
Mg12 Mg 0.675 0.837 0.284 1
Mg13 Mg 0.675 0.837 0.716 1
Mg14 Mg 0.989 0.494 0.500 1
Co1 Co 0.000 0.000 0.500 1
```

Peak list (10 most intense, 10° ≤ 2θ ≤ 90°, by angle)
- 16.0 deg, d = 5.536 Å, rel. 214
- 23.1 deg, d = 3.844 Å, rel. 161
- 32.3 deg, d = 2.768 Å, rel. 271
- 33.5 deg, d = 2.671 Å, rel. 236
- 36.6 deg, d = 2.458 Å, rel. 1000
- 47.3 deg, d = 1.922 Å, rel. 173
- 57.7 deg, d = 1.598 Å, rel. 173
- 62.0 deg, d = 1.498 Å, rel. 138
- 68.4 deg, d = 1.371 Å, rel. 163
- 70.3 deg, d = 1.340 Å, rel. 133

Entry 4:
Starting from a GGA-PBE-relaxed structure, the powder diffraction line list of RbMg14Co was simulated for Cu Ka.

Structural model:
```
data_RbMg14Co
_chemical_formula_sum 'Rb1 Mg14 Co1'
_space_group_name_H-M_alt 'P 1'
_space_group_IT_number 1
_cell_length_a 10.396
_cell_length_b 6.544
_cell_length_c 6.544
_cell_angle_alpha 58.70
_cell_angle_beta 90.00
_cell_angle_gamma 90.00
loop_
_space_group_symop_operation_xyz
'x,y,z'
loop_
_atom_site_label
_atom_site_type_symbol
_atom_site_fract_x
_atom_site_fract_y
_atom_site_fract_z
_atom_site_occupancy
Rb1 Rb 0.000 0.000 0.000 1
Mg1 Mg 0.000 0.009 0.492 1
Mg2 Mg 0.000 0.492 0.009 1
Mg3 Mg 0.221 0.629 0.629 1
Mg4 Mg 0.255 0.149 0.626 1
Mg5 Mg 0.255 0.626 0.149 1
Mg6 Mg 0.273 0.145 0.145 1
Mg7 Mg 0.500 0.476 0.476 1
Mg8 Mg 0.500 0.482 0.970 1
Mg9 Mg 0.500 0.970 0.482 1
Mg10 Mg 0.500 0.971 0.971 1
Mg11 Mg 0.727 0.145 0.145 1
Mg12 Mg 0.745 0.149 0.626 1
Mg13 Mg 0.745 0.626 0.149 1
Mg14 Mg 0.779 0.629 0.629 1
Co1 Co 0.000 0.441 0.441 1
```

Peak list (10 most intense, 10° ≤ 2θ ≤ 90°, by angle)
- 17.7 deg, d = 5.001 Å, rel. 143
- 32.0 deg, d = 2.796 Å, rel. 332
- 34.5 deg, d = 2.599 Å, rel. 407
- 35.9 deg, d = 2.500 Å, rel. 539
- 36.5 deg, d = 2.462 Å, rel. 1000
- 47.8 deg, d = 1.904 Å, rel. 200
- 56.2 deg, d = 1.636 Å, rel. 130
- 63.1 deg, d = 1.473 Å, rel. 161
- 67.7 deg, d = 1.384 Å, rel. 130
- 69.6 deg, d = 1.350 Å, rel. 169

Entry 5:
Starting from a GGA-PBE-relaxed structure, the powder diffraction line list of MgCoS2 was simulated for Cu Ka.

Structural model:
```
data_MgCoS2
_chemical_formula_sum 'Mg3 Co3 S6'
_space_group_name_H-M_alt 'P 1'
_space_group_IT_number 1
_cell_length_a 3.505
_cell_length_b 3.505
_cell_length_c 17.618
_cell_angle_alpha 90.00
_cell_angle_beta 90.00
_cell_angle_gamma 120.00
loop_
_space_group_symop_operation_xyz
'x,y,z'
loop_
_atom_site_label
_atom_site_type_symbol
_atom_site_fract_x
_atom_site_fract_y
_atom_site_fract_z
_atom_site_occupancy
Mg1 Mg 0.000 0.000 0.000 1
Mg2 Mg 0.333 0.667 0.667 1
Mg3 Mg 0.667 0.333 0.333 1
Co1 Co 0.000 0.000 0.165 1
Co2 Co 0.333 0.667 0.831 1
Co3 Co 0.667 0.333 0.498 1
S1 S 0.000 0.000 0.570 1
S2 S 0.000 0.000 0.765 1
S3 S 0.333 0.667 0.237 1
S4 S 0.333 0.667 0.431 1
S5 S 0.667 0.333 0.098 1
S6 S 0.667 0.333 0.903 1
```

Peak list (10 most intense, 10° ≤ 2θ ≤ 90°, by angle)
- 15.1 deg, d = 5.873 Å, rel. 564
- 29.9 deg, d = 2.992 Å, rel. 101
- 31.2 deg, d = 2.870 Å, rel. 551
- 39.2 deg, d = 2.300 Å, rel. 1000
- 46.9 deg, d = 1.938 Å, rel. 321
- 52.2 deg, d = 1.753 Å, rel. 476
- 60.8 deg, d = 1.524 Å, rel. 160
- 67.2 deg, d = 1.394 Å, rel. 180
- 86.5 deg, d = 1.125 Å, rel. 127
- 89.9 deg, d = 1.091 Å, rel. 167

Entry 6:
Starting from a GGA-PBE-relaxed structure, the powder diffraction line list of MgCo2S5 was simulated for Cu Ka.

Structural model:
```
data_MgCo2S5
_chemical_formula_sum 'Mg2 Co4 S10'
_space_group_name_H-M_alt 'P 1'
_space_group_IT_number 1
_cell_length_a 3.608
_cell_length_b 13.257
_cell_length_c 6.374
_cell_angle_alpha 90.00
_cell_angle_beta 90.00
_cell_angle_gamma 90.00
loop_
_space_group_symop_operation_xyz
'x,y,z'
loop_
_atom_site_label
_atom_site_type_symbol
_atom_site_fract_x
_atom_site_fract_y
_atom_site_fract_z
_atom_site_occupancy
Mg1 Mg 0.250 0.250 0.114 1
Mg2 Mg 0.750 0.750 0.886 1
Co1 Co 0.250 0.601 0.456 1
Co2 Co 0.250 0.899 0.456 1
Co3 Co 0.750 0.101 0.544 1
Co4 Co 0.750 0.399 0.544 1
S1 S 0.250 0.058 0.361 1
S2 S 0.250 0.442 0.361 1
S3 S 0.250 0.669 0.148 1
S4 S 0.250 0.750 0.619 1
S5 S 0.250 0.831 0.148 1
S6 S 0.750 0.169 0.852 1
S7 S 0.750 0.250 0.381 1
S8 S 0.750 0.331 0.852 1
S9 S 0.750 0.558 0.639 1
S10 S 0.750 0.942 0.639 1
```

Peak list (10 most intense, 10° ≤ 2θ ≤ 90°, by angle)
- 13.9 deg, d = 6.374 Å, rel. 1000
- 19.3 deg, d = 4.594 Å, rel. 406
- 25.6 deg, d = 3.482 Å, rel. 392
- 28.4 deg, d = 3.140 Å, rel. 388
- 29.2 deg, d = 3.055 Å, rel. 167
- 36.7 deg, d = 2.448 Å, rel. 186
- 40.1 deg, d = 2.247 Å, rel. 404
- 43.0 deg, d = 2.101 Å, rel. 167
- 50.6 deg, d = 1.804 Å, rel. 191
- 56.8 deg, d = 1.622 Å, rel. 302